(1)
Structure and calculated powder diffraction line list of V4Pb3O3F19 (a structure optimized by DFT (GGA+U); Cu Kα X-rays).

Largest 10 diffraction maxima, in order of falling intensity, 2θ = 15–90°:
| Position (°2θ) | d [Å] | I/Imax |
| --- | --- | --- |
| 27.9 | 3.201 | 100.0 |
| 25.8 | 3.448 | 47.1 |
| 26.1 | 3.415 | 33.0 |
| 19.3 | 4.595 | 28.0 |
| 46.8 | 1.940 | 27.6 |
| 27.7 | 3.221 | 27.5 |
| 41.0 | 2.200 | 26.2 |
| 47.1 | 1.928 | 25.3 |
| 21.7 | 4.096 | 22.7 |
| 17.0 | 5.217 | 22.2 |

Structural model:
```
58
Lattice="10.433 0.000 0.000 -5.217 9.035 0.000 0.000 0.000 9.189" Properties=species:S:1:pos:R:3 pbc="T T T"
V -0.825 2.761 0.000
V -2.414 8.369 0.000
V 2.803 0.666 4.595
V 0.000 6.024 6.522
V 5.217 3.012 1.927
V 3.238 6.941 0.000
V 4.392 6.275 4.595
V 8.455 2.094 4.595
Pb -2.374 5.538 3.060
Pb 1.608 4.211 3.060
Pb 2.843 3.498 7.655
Pb 0.766 8.322 3.060
Pb 5.982 0.713 7.655
Pb 6.824 4.824 7.655
O -0.760 1.522 5.437
O -3.519 8.933 5.437
O 1.698 0.103 0.842
O 4.279 7.616 5.437
O 4.456 7.514 0.842
O 9.495 1.419 0.842
F -1.873 4.000 0.888
F -1.029 3.257 3.449
F -3.343 7.522 7.862
F -2.421 6.691 0.852
F 0.374 2.379 7.862
F -0.984 4.864 7.660
F -1.530 6.227 5.458
F 0.633 3.593 0.852
F 1.874 1.513 3.267
F -1.882 8.298 3.449
F 0.589 4.597 5.458
F 0.000 6.024 2.810
F 3.335 0.737 8.044
F -0.512 7.455 7.660
F 2.795 2.344 5.447
F -0.816 8.658 0.888
F 4.401 0.377 5.483
F 1.496 5.751 7.660
F 0.941 7.247 5.458
F 3.686 2.809 0.864
F 4.705 1.580 3.065
F 2.689 5.413 0.888
F 3.343 5.036 5.483
F 1.789 7.787 0.852
F 4.233 4.171 3.065
F 2.910 6.516 3.449
F 5.217 3.012 7.405
F 6.157 1.788 0.864
F 4.188 5.778 8.044
F 2.969 8.169 7.862
F 7.005 1.249 5.447
F 5.806 4.438 0.864
F 6.712 3.284 3.065
F 8.186 0.866 3.267
F 5.849 5.442 5.447
F 5.590 6.656 3.267
F 8.127 2.519 8.044
F 7.906 3.622 5.483
```

---

(2)
Structure and calculated powder diffraction line list of Pb2WO4F (a structure optimized by DFT (GGA+U); Cu Kα X-rays).

Largest 10 diffraction maxima, in order of falling intensity, 2θ = 15–90°:
| Position (°2θ) | d [Å] | I/Imax |
| --- | --- | --- |
| 25.2 | 3.536 | 100.0 |
| 35.8 | 2.507 | 66.1 |
| 27.6 | 3.231 | 64.2 |
| 33.5 | 2.674 | 51.5 |
| 28.1 | 3.172 | 41.4 |
| 31.6 | 2.831 | 40.0 |
| 53.4 | 1.715 | 24.4 |
| 43.1 | 2.100 | 24.2 |
| 56.1 | 1.640 | 23.3 |
| 48.2 | 1.888 | 23.2 |

Structural model:
```
8
Lattice="5.686 -1.673 0.000 5.686 1.673 0.000 -3.437 0.000 6.301" Properties=species:S:1:pos:R:3 pbc="T T T"
Pb 1.497 0.000 1.173
Pb 6.439 0.000 5.128
W -1.719 0.000 3.150
O -1.080 0.000 5.001
O 2.724 0.000 3.460
O 5.212 0.000 2.841
O 9.016 0.000 1.299
F 5.686 0.000 0.000
```